Diffraction record for Tm5Pb2Au2. The X-ray powder pattern is theoretical, not measured: it uses a GGA-PBE-relaxed structure and λ = 1.5418 Å (Cu Kα).

Structure:
```
Tm5Pb2Au2
1.0
7.594 -4.197 0.000
7.594 4.197 0.000
0.000 0.000 7.578
Tm Pb Au
10 4 4
Direct
0.000 0.000 0.000
0.054 0.700 0.659
0.200 0.554 0.159
0.300 0.946 0.659
0.446 0.800 0.159
0.500 0.500 0.500
0.554 0.200 0.841
0.700 0.054 0.341
0.800 0.446 0.841
0.946 0.300 0.341
0.212 0.212 0.000
0.288 0.288 0.500
0.712 0.712 0.500
0.788 0.788 0.000
0.127 0.873 0.364
0.373 0.627 0.864
0.627 0.373 0.136
0.873 0.127 0.636
```

Principal peaks in the range 10 to 80 degrees two-theta, by angle:
Position (°2θ)  intensity
31.36  74
31.80  100
33.97  83
34.68  67
37.66  53
39.51  44
44.79  39
65.81  38


Diffraction record for Tb2PrErTm4. The X-ray powder pattern is theoretical, not measured: it uses a GGA-PBE-relaxed structure and λ = 1.5418 Å (Cu Kα).

Structure:
```
Tb2PrErTm4
1.0
-3.379 5.850 6.608
3.379 -5.850 6.608
3.379 5.850 -6.608
Tb Pr Er Tm
4 2 2 8
Direct
0.000 0.000 0.000
0.500 0.000 0.000
0.500 0.000 0.500
0.500 0.500 0.500
0.000 0.500 0.500
0.500 0.500 0.000
0.000 0.000 0.500
0.000 0.500 0.000
0.248 0.247 0.499
0.248 0.249 0.998
0.248 0.750 0.001
0.249 0.751 0.498
0.751 0.249 0.502
0.752 0.250 0.999
0.752 0.751 0.002
0.752 0.753 0.501
```

Principal peaks in the range 10 to 80 degrees two-theta, by angle:
Position (°2θ)  intensity
26.99  46
30.56  100
41.22  89
54.31  20
61.67  27
63.61  12
64.81  23
70.39  18


Diffraction record for Er2Tl5Cl12. The X-ray powder pattern is theoretical, not measured: it uses a GGA-PBE-relaxed structure and λ = 1.5418 Å (Cu Kα).

Structure:
```
Er2Tl5Cl12
1.0
7.984 -4.925 0.000
7.984 4.925 0.000
-1.943 0.000 7.253
Er Tl Cl
2 5 12
Direct
0.248 0.752 0.000
0.752 0.248 0.000
0.144 0.144 0.504
0.254 0.254 0.995
0.500 0.500 0.500
0.746 0.746 0.005
0.856 0.856 0.496
0.026 0.026 0.812
0.037 0.645 0.791
0.211 0.600 0.246
0.355 0.963 0.209
0.400 0.789 0.754
0.424 0.424 0.819
0.576 0.576 0.181
0.600 0.211 0.246
0.645 0.037 0.791
0.789 0.400 0.754
0.963 0.355 0.209
0.974 0.974 0.188
```

Principal peaks in the range 10 to 80 degrees two-theta, by angle:
Position (°2θ)  intensity
19.48  44
20.50  50
23.15  100
24.55  44
25.35  38
26.18  56
36.49  42
38.60  51


Diffraction record for Pm5Nd4In2. The X-ray powder pattern is theoretical, not measured: it uses a GGA-PBE-relaxed structure and λ = 1.5418 Å (Cu Kα).

Structure:
```
Pm5Nd4In2
1.0
2.676 1.545 15.773
-2.676 1.545 15.773
0.000 -3.089 15.773
Pm Nd In
5 4 2
Direct
0.000 0.000 0.000
0.148 0.148 0.148
0.304 0.304 0.304
0.696 0.696 0.696
0.852 0.852 0.852
0.073 0.073 0.073
0.227 0.227 0.227
0.773 0.773 0.773
0.927 0.927 0.927
0.382 0.382 0.382
0.618 0.618 0.618
```

Principal peaks in the range 10 to 80 degrees two-theta, by angle:
Position (°2θ)  intensity
19.24  19
31.25  100
32.80  19
33.49  92
46.46  33
54.14  15
58.48  33
59.88  17


Diffraction record for Cd4AsPt. The X-ray powder pattern is theoretical, not measured: it uses a GGA-PBE-relaxed structure and λ = 1.5418 Å (Cu Kα).

Structure:
```
Cd4AsPt
1.0
0.000 3.967 3.967
3.967 0.000 3.967
3.967 3.967 0.000
Cd As Pt
4 1 1
Direct
0.125 0.125 0.125
0.125 0.125 0.626
0.125 0.626 0.125
0.626 0.125 0.125
0.500 0.500 0.500
0.750 0.750 0.750
```

Principal peaks in the range 10 to 80 degrees two-theta, by angle:
Position (°2θ)  intensity
19.38  8
31.91  31
37.60  100
39.34  36
56.86  12
60.65  32
66.69  26
79.17  11


Diffraction record for Mg2H5Ir2. The X-ray powder pattern is theoretical, not measured: it uses a GGA-PBE-relaxed structure and λ = 1.5418 Å (Cu Kα).

Structure:
```
Mg2H5Ir2
1.0
3.357 0.000 0.000
0.002 3.409 0.000
1.647 1.223 7.810
Mg H Ir
2 5 2
Direct
0.000 0.000 0.000
0.193 0.121 0.604
0.309 0.709 0.367
0.483 0.454 0.029
0.611 0.060 0.772
0.805 0.201 0.377
0.879 0.702 0.218
0.591 0.545 0.813
0.780 0.684 0.428
```

Principal peaks in the range 10 to 80 degrees two-theta, by angle:
Position (°2θ)  intensity
11.33  66
22.77  48
26.47  44
27.17  100
37.64  70
37.88  32
39.32  31
39.49  31


Diffraction record for LiZn6Os. The X-ray powder pattern is theoretical, not measured: it uses a GGA-PBE-relaxed structure and λ = 1.5418 Å (Cu Kα).

Structure:
```
LiZn6Os
1.0
3.625 2.093 3.082
-3.625 2.093 3.082
0.000 -4.186 3.082
Li Zn Os
1 6 1
Direct
0.000 0.000 0.000
0.162 0.162 0.534
0.162 0.534 0.162
0.466 0.838 0.838
0.534 0.162 0.162
0.838 0.466 0.838
0.838 0.838 0.466
0.500 0.500 0.500
```

Principal peaks in the range 10 to 80 degrees two-theta, by angle:
Position (°2θ)  intensity
17.07  62
30.06  100
38.33  27
41.64  30
42.83  71
51.52  19
52.88  38
53.55  23


Diffraction record for TbY7Th2. The X-ray powder pattern is theoretical, not measured: it uses a GGA-PBE-relaxed structure and λ = 1.5418 Å (Cu Kα).

Structure:
```
TbY7Th2
1.0
6.190 0.000 0.000
2.020 6.839 0.000
2.093 1.253 7.637
Tb Y Th
1 7 2
Direct
0.000 0.000 0.000
0.000 0.500 0.000
0.197 0.298 0.599
0.396 0.098 0.206
0.403 0.600 0.204
0.597 0.400 0.796
0.604 0.902 0.794
0.803 0.702 0.401
0.195 0.802 0.602
0.805 0.198 0.398
```

Principal peaks in the range 10 to 80 degrees two-theta, by angle:
Position (°2θ)  intensity
30.56  34
30.64  100
35.42  45
35.67  22
50.96  16
51.09  16
51.20  16
60.57  19


Please write out number 6 again, unchanged.
Diffraction record for Mg2H5Ir2. The X-ray powder pattern is theoretical, not measured: it uses a GGA-PBE-relaxed structure and λ = 1.5418 Å (Cu Kα).

Structure:
```
Mg2H5Ir2
1.0
3.357 0.000 0.000
0.002 3.409 0.000
1.647 1.223 7.810
Mg H Ir
2 5 2
Direct
0.000 0.000 0.000
0.193 0.121 0.604
0.309 0.709 0.367
0.483 0.454 0.029
0.611 0.060 0.772
0.805 0.201 0.377
0.879 0.702 0.218
0.591 0.545 0.813
0.780 0.684 0.428
```

Principal peaks in the range 10 to 80 degrees two-theta, by angle:
Position (°2θ)  intensity
11.33  66
22.77  48
26.47  44
27.17  100
37.64  70
37.88  32
39.32  31
39.49  31